This entry pairs a crystal structure of ThCd11Pd with its calculated PXRD pattern. Radiation: Cu Kα. Structure: a GGA-PBE-relaxed structure.

Peak list (10 most intense, 10° ≤ 2θ ≤ 80°, most intense first)
2theta	Rel. int.
36.1	100
35.8	66
31.1	45
36.0	44
64.7	36
40.2	28
30.7	16
40.5	15
58.2	12
40.3	12

Cell and atoms:
a = 7.6299 Å, b = 7.6299 Å, c = 7.5820 Å
α = 98.39°, β = 98.39°, γ = 135.16°
Sites, in units of the cell vectors:
Th  0.0000  0.0000  0.0000
Cd  0.0000  0.0000  0.5000
Cd  0.0000  0.5000  0.0000
Cd  0.0211  0.3640  0.3565
Cd  0.2947  0.5045  0.7838
Cd  0.3640  0.0211  0.3565
Cd  0.4955  0.7053  0.2162
Cd  0.5000  0.0000  0.0000
Cd  0.5045  0.2947  0.7838
Cd  0.6360  0.9789  0.6435
Cd  0.7053  0.4955  0.2162
Cd  0.9789  0.6360  0.6435
Pd  0.5000  0.5000  0.5000